Record 1
Structure and theoretical XRD peak list of TbMg4Au2 (a crystal structure in Alexandria, relaxed with GGA-PBE; Cu Kα).

Atomic structure:
Cell lengths 8.3100, 8.3100, 4.3935 Å; angles 90.00, 90.00, 90.00 degrees
Atoms (fractional coordinates):
Tb1 0.0000 0.0000 0.0000
Tb2 0.5000 0.5000 0.5000
Mg1 0.0897 0.3371 0.5000
Mg2 0.1629 0.5897 0.0000
Mg3 0.3371 0.0897 0.5000
Mg4 0.4103 0.8371 0.0000
Mg5 0.5897 0.1629 0.0000
Mg6 0.6629 0.9103 0.5000
Mg7 0.8371 0.4103 0.0000
Mg8 0.9103 0.6629 0.5000
Au1 0.2131 0.7869 0.5000
Au2 0.2869 0.2869 0.0000
Au3 0.7131 0.7131 0.0000
Au4 0.7869 0.2131 0.5000

Largest 10 diffraction maxima, by intensity, 2θ from 10° to 90°:
2θ 25.3, I = 100
2θ 31.5, I = 80
2θ 40.0, I = 67
2θ 30.4, I = 61
2θ 38.4, I = 43
2θ 63.9, I = 32
2θ 41.1, I = 29
2θ 52.0, I = 28
2θ 45.0, I = 28
2θ 21.4, I = 27

***

Record 2
Structure and theoretical XRD peak list of Cs3PuCl8 (a crystal structure in Alexandria, relaxed with GGA-PBE; Cu Kα).

Atomic structure:
Cell lengths 10.4923, 10.4923, 9.4537 Å; angles 90.00, 90.00, 120.00 degrees
Atoms (fractional coordinates):
Cs1 0.1509 0.3018 0.0000
Cs2 0.1509 0.8491 0.0000
Cs3 0.3018 0.1509 0.5000
Cs4 0.6982 0.8491 0.0000
Cs5 0.8491 0.1509 0.5000
Cs6 0.8491 0.6982 0.5000
Pu1 0.3333 0.6667 0.4573
Pu2 0.6667 0.3333 0.9573
Cl1 0.0000 0.0000 0.2574
Cl2 0.0000 0.0000 0.7574
Cl3 0.1035 0.5518 0.3053
Cl4 0.2171 0.4342 0.6092
Cl5 0.2171 0.7829 0.6092
Cl6 0.3333 0.6667 0.9557
Cl7 0.4342 0.2171 0.1092
Cl8 0.4482 0.5518 0.3053
Cl9 0.4482 0.8965 0.3053
Cl10 0.5518 0.1035 0.8053
Cl11 0.5518 0.4482 0.8053
Cl12 0.5658 0.7829 0.6092
Cl13 0.6667 0.3333 0.4557
Cl14 0.7829 0.2171 0.1092
Cl15 0.7829 0.5658 0.1092
Cl16 0.8965 0.4482 0.8053

Largest 10 diffraction maxima, by intensity, 2θ from 10° to 90°:
2θ 21.7, I = 100
2θ 27.2, I = 45
2θ 34.6, I = 36
2θ 34.2, I = 35
2θ 39.3, I = 32
2θ 18.8, I = 32
2θ 13.5, I = 29
2θ 19.5, I = 20
2θ 54.3, I = 19
2θ 40.9, I = 17

***

Record 3
Structure and theoretical XRD peak list of Tb3NiRh8 (a crystal structure in Alexandria, relaxed with GGA-PBE; Cu Kα).

Atomic structure:
Cell lengths 9.2002, 9.2002, 9.2002 Å; angles 33.41, 33.41, 33.41 degrees
Atoms (fractional coordinates):
Tb1 0.0000 0.0000 0.0000
Tb2 0.1310 0.1310 0.1310
Tb3 0.5196 0.5196 0.5196
Ni1 0.6513 0.6513 0.6513
Rh1 0.0686 0.5674 0.5674
Rh2 0.0698 0.0698 0.5688
Rh3 0.0698 0.5688 0.0698
Rh4 0.3180 0.3180 0.3180
Rh5 0.5674 0.0686 0.5674
Rh6 0.5674 0.5674 0.0686
Rh7 0.5688 0.0698 0.0698
Rh8 0.8188 0.8188 0.8188

Largest 10 diffraction maxima, by intensity, 2θ from 10° to 90°:
2θ 39.9, I = 100
2θ 40.0, I = 36
2θ 41.8, I = 36
2θ 64.7, I = 31
2θ 33.9, I = 26
2θ 33.8, I = 21
2θ 71.3, I = 19
2θ 71.1, I = 13
2θ 60.6, I = 12
2θ 41.6, I = 12

***

Record 4
Structure and theoretical XRD peak list of Ba6IrS2 (a crystal structure in Alexandria, relaxed with GGA-PBE; Cu Kα).

Atomic structure:
Cell lengths 8.0172, 7.5413, 15.5541 Å; angles 90.00, 121.02, 90.00 degrees
Atoms (fractional coordinates):
Ba1 0.0046 0.2321 0.3331
Ba2 0.0046 0.2679 0.8331
Ba3 0.3196 0.7240 0.0003
Ba4 0.3196 0.7760 0.5003
Ba5 0.3377 0.2336 0.6664
Ba6 0.3377 0.2664 0.1664
Ba7 0.6623 0.7336 0.8336
Ba8 0.6623 0.7664 0.3336
Ba9 0.6804 0.2240 0.4997
Ba10 0.6804 0.2760 0.9997
Ba11 0.9954 0.7321 0.1669
Ba12 0.9954 0.7679 0.6669
Ir1 0.0000 0.0000 0.5000
Ir2 0.0000 0.5000 0.0000
S1 0.3279 0.5007 0.8276
S2 0.3279 0.9993 0.3276
S3 0.6721 0.0007 0.6724
S4 0.6721 0.4993 0.1724

Largest 10 diffraction maxima, by intensity, 2θ from 10° to 90°:
2θ 25.8, I = 100
2θ 25.2, I = 44
2θ 13.5, I = 40
2θ 33.1, I = 39
2θ 39.3, I = 36
2θ 32.6, I = 27
2θ 42.8, I = 22
2θ 40.6, I = 17
2θ 23.6, I = 16
2θ 48.4, I = 15